Computed powder diffraction line list of Li4Ti3Fe3Co2O16 for CuKα, from a structure optimized by DFT (GGA+U).
Kinematic intensities with the Lorentz-polarization factor, no thermal factor.

Peak list (6 most intense, 15° ≤ 2θ ≤ 90°, in order of rising 2θ)
| d/Å | Rel. int. |
| --- | --- |
| 4.738 | 71 |
| 4.489 | 100 |
| 4.440 | 57 |
| 2.244 | 36 |
| 1.986 | 44 |
| 1.468 | 38 |

Atomic structure:
Cell lengths 5.8252, 5.8730, 9.4778 Å; angles 89.51, 89.19, 60.29 degrees
Space group P1 (No. 1)
Asymmetric unit:
Li: 0.0000 0.0000 0.0000 (multiplicity 1)
Li: 0.0182 0.9972 0.4981 (multiplicity 1)
Li: 0.3641 0.3463 0.1033 (multiplicity 1)
Li: 0.6939 0.6728 0.5977 (multiplicity 1)
Ti: 0.1720 0.1829 0.7781 (multiplicity 1)
Ti: 0.2104 0.6600 0.7793 (multiplicity 1)
Ti: 0.3659 0.8427 0.2823 (multiplicity 1)
Fe: 0.6745 0.1685 0.7782 (multiplicity 1)
Fe: 0.8564 0.3448 0.2847 (multiplicity 1)
Fe: 0.8570 0.8339 0.2862 (multiplicity 1)
Co: 0.3589 0.3257 0.5121 (multiplicity 1)
Co: 0.6962 0.6758 0.0087 (multiplicity 1)
O: 0.0161 0.9972 0.6837 (multiplicity 1)
O: 0.0241 0.0010 0.1881 (multiplicity 1)
O: 0.0672 0.4748 0.6498 (multiplicity 1)
O: 0.1934 0.6674 0.3930 (multiplicity 1)
O: 0.1992 0.1609 0.3994 (multiplicity 1)
O: 0.3425 0.3370 0.8901 (multiplicity 1)
O: 0.3473 0.8362 0.8881 (multiplicity 1)
O: 0.4984 0.0439 0.6512 (multiplicity 1)
O: 0.5019 0.4783 0.6487 (multiplicity 1)
O: 0.5427 0.5391 0.1498 (multiplicity 1)
O: 0.5474 0.9758 0.1598 (multiplicity 1)
O: 0.6871 0.6781 0.3942 (multiplicity 1)
O: 0.6922 0.1589 0.3965 (multiplicity 1)
O: 0.8526 0.8300 0.8882 (multiplicity 1)
O: 0.8547 0.3243 0.8902 (multiplicity 1)
O: 0.9911 0.5404 0.1603 (multiplicity 1)